Record 1
Simulated powder X-ray diffraction pattern of TaPO5 for λ = 1.5418 Å (Cu Kα), from a cell relaxed with GGA-PBE.

Peak list (12 most intense, 2θ from 5° to 70°, low angle first)
2θ = 15.26°, intensity 100
2θ = 21.22°, intensity 33
2θ = 21.43°, intensity 27
2θ = 25.57°, intensity 31
2θ = 29.75°, intensity 34
2θ = 30.34°, intensity 30
2θ = 30.79°, intensity 63
2θ = 36.21°, intensity 15
2θ = 42.03°, intensity 13
2θ = 43.66°, intensity 27
2θ = 52.54°, intensity 18
2θ = 52.88°, intensity 11

Atomic structure:
```
data_TaPO5
_chemical_formula_sum 'Ta4 P4 O20'
_symmetry_space_group_name_H-M 'P 1'
_symmetry_Int_Tables_number 1
_symmetry_space_group_name_Hall 'P 1'
_cell_length_a 9.109
_cell_length_b 7.124
_cell_length_c 10.395
_cell_angle_alpha 59.20
_cell_angle_beta 42.20
_cell_angle_gamma 78.60
loop_
_atom_site_label
_atom_site_type_symbol
_atom_site_fract_x
_atom_site_fract_y
_atom_site_fract_z
Ta1 Ta 0.256 0.744 0.498
Ta2 Ta 0.744 0.256 0.502
Ta3 Ta 0.748 0.752 0.506
Ta4 Ta 0.752 0.748 0.994
P1 P 0.159 0.590 0.912
P2 P 0.338 0.910 0.091
P3 P 0.590 0.159 0.340
P4 P 0.910 0.338 0.660
O1 O 0.017 0.384 0.159
O2 O 0.017 0.760 0.940
O3 O 0.091 0.811 0.233
O4 O 0.119 0.472 0.562
O5 O 0.195 0.527 0.768
O6 O 0.310 0.968 0.233
O7 O 0.384 0.017 0.439
O8 O 0.403 0.688 0.778
O9 O 0.472 0.119 0.847
O10 O 0.482 0.740 0.055
O11 O 0.527 0.195 0.510
O12 O 0.546 0.701 0.291
O13 O 0.688 0.403 0.131
O14 O 0.701 0.546 0.462
O15 O 0.740 0.482 0.723
O16 O 0.760 0.017 0.282
O17 O 0.788 0.959 0.549
O18 O 0.811 0.091 0.866
O19 O 0.959 0.788 0.704
O20 O 0.968 0.310 0.490
```

Record 2
Simulated powder X-ray diffraction pattern of HoHfF7 for λ = 1.5418 Å (Cu Kα), from a cell relaxed with GGA-PBE.

Peak list (12 most intense, 2θ from 5° to 70°, low angle first)
2θ = 21.64°, intensity 100
2θ = 22.08°, intensity 39
2θ = 22.74°, intensity 14
2θ = 25.83°, intensity 18
2θ = 27.07°, intensity 14
2θ = 28.56°, intensity 31
2θ = 31.21°, intensity 15
2θ = 33.50°, intensity 15
2θ = 43.79°, intensity 15
2θ = 47.92°, intensity 25
2θ = 50.21°, intensity 13
2θ = 51.52°, intensity 12

Atomic structure:
```
data_HoHfF7
_chemical_formula_sum 'Ho2 Hf2 F14'
_symmetry_space_group_name_H-M 'P 1'
_symmetry_Int_Tables_number 1
_symmetry_space_group_name_Hall 'P 1'
_cell_length_a 6.036
_cell_length_b 5.731
_cell_length_c 8.255
_cell_angle_alpha 90.00
_cell_angle_beta 102.78
_cell_angle_gamma 90.00
loop_
_atom_site_label
_atom_site_type_symbol
_atom_site_fract_x
_atom_site_fract_y
_atom_site_fract_z
Ho1 Ho 0.155 0.000 0.185
Ho2 Ho 0.845 0.500 0.815
Hf1 Hf 0.311 0.990 0.724
Hf2 Hf 0.689 0.490 0.276
F1 F 0.043 0.303 0.022
F2 F 0.046 0.205 0.711
F3 F 0.118 0.701 0.717
F4 F 0.254 0.000 0.476
F5 F 0.363 0.992 0.973
F6 F 0.429 0.268 0.270
F7 F 0.456 0.748 0.259
F8 F 0.544 0.248 0.741
F9 F 0.571 0.768 0.730
F10 F 0.637 0.492 0.027
F11 F 0.746 0.500 0.524
F12 F 0.882 0.201 0.283
F13 F 0.954 0.705 0.289
F14 F 0.957 0.803 0.978
```

Please write out number 2 again, unchanged.
Simulated powder X-ray diffraction pattern of HoHfF7 for λ = 1.5418 Å (Cu Kα), from a cell relaxed with GGA-PBE.

Peak list (12 most intense, 2θ from 5° to 70°, low angle first)
2θ = 21.64°, intensity 100
2θ = 22.08°, intensity 39
2θ = 22.74°, intensity 14
2θ = 25.83°, intensity 18
2θ = 27.07°, intensity 14
2θ = 28.56°, intensity 31
2θ = 31.21°, intensity 15
2θ = 33.50°, intensity 15
2θ = 43.79°, intensity 15
2θ = 47.92°, intensity 25
2θ = 50.21°, intensity 13
2θ = 51.52°, intensity 12

Atomic structure:
```
data_HoHfF7
_chemical_formula_sum 'Ho2 Hf2 F14'
_symmetry_space_group_name_H-M 'P 1'
_symmetry_Int_Tables_number 1
_symmetry_space_group_name_Hall 'P 1'
_cell_length_a 6.036
_cell_length_b 5.731
_cell_length_c 8.255
_cell_angle_alpha 90.00
_cell_angle_beta 102.78
_cell_angle_gamma 90.00
loop_
_atom_site_label
_atom_site_type_symbol
_atom_site_fract_x
_atom_site_fract_y
_atom_site_fract_z
Ho1 Ho 0.155 0.000 0.185
Ho2 Ho 0.845 0.500 0.815
Hf1 Hf 0.311 0.990 0.724
Hf2 Hf 0.689 0.490 0.276
F1 F 0.043 0.303 0.022
F2 F 0.046 0.205 0.711
F3 F 0.118 0.701 0.717
F4 F 0.254 0.000 0.476
F5 F 0.363 0.992 0.973
F6 F 0.429 0.268 0.270
F7 F 0.456 0.748 0.259
F8 F 0.544 0.248 0.741
F9 F 0.571 0.768 0.730
F10 F 0.637 0.492 0.027
F11 F 0.746 0.500 0.524
F12 F 0.882 0.201 0.283
F13 F 0.954 0.705 0.289
F14 F 0.957 0.803 0.978
```